Theoretical powder diffraction line list of AsS8 for Cu Kα, 1.54184 Å, from a structure optimized by DFT (GGA-PBE).
Peak positions follow from Bragg's law for the DFT cell and can differ from measured ones.

Principal peaks in the range 2θ = 10–90°, low angle first:
17.22 deg, rel. 59; 24.15 deg, rel. 100; 29.81 deg, rel. 28; 35.20 deg, rel. 50; 36.87 deg, rel. 30; 50.37 deg, rel. 26

Structural model:
abc: 8.4275 7.6215 6.3327
angles: 73.65 60.20 46.14
Element x y z (fractional)
As  0.0000  0.0000  0.0000
S  0.0769  0.2727  0.7273
S  0.2727  0.0769  0.9231
S  0.3576  0.6424  0.3576
S  0.3864  0.3864  0.6136
S  0.6136  0.6136  0.3864
S  0.6424  0.3576  0.6424
S  0.7273  0.9231  0.0769
S  0.9231  0.7273  0.2727

Theoretical powder diffraction line list of SbAs2S4 for Cu Kα, 1.54184 Å, from a structure optimized by DFT (GGA-PBE).
Peak positions follow from Bragg's law for the DFT cell and can differ from measured ones.

Principal peaks in the range 2θ = 10–90°, low angle first:
17.27 deg, rel. 47; 28.72 deg, rel. 100; 32.81 deg, rel. 25; 39.56 deg, rel. 36; 49.61 deg, rel. 42; 51.50 deg, rel. 31

Structural model:
abc: 6.2320 6.2320 6.2320
angles: 117.74 117.74 93.97
Element x y z (fractional)
Sb  0.0000  0.0000  0.0000
As  0.2500  0.7500  0.5000
As  0.7500  0.2500  0.5000
S  0.1250  0.5966  0.0000
S  0.4034  0.4034  0.5284
S  0.5966  0.1250  0.0000
S  0.8750  0.8750  0.4716

Theoretical powder diffraction line list of SbAsS4 for Cu Kα, 1.54184 Å, from a structure optimized by DFT (GGA-PBE).
Peak positions follow from Bragg's law for the DFT cell and can differ from measured ones.

Principal peaks in the range 2θ = 10–90°, low angle first:
17.37 deg, rel. 23; 19.59 deg, rel. 66; 22.88 deg, rel. 100; 34.70 deg, rel. 23; 36.34 deg, rel. 28; 45.10 deg, rel. 27

Structural model:
abc: 9.0610 5.9948 6.1794
angles: 90.00 90.00 90.00
Element x y z (fractional)
Sb  0.0000  0.0423  0.0000
Sb  0.5000  0.9577  0.5000
As  0.0000  0.6376  0.6136
As  0.5000  0.3624  0.1136
S  0.0000  0.2752  0.6310
S  0.0000  0.6620  0.2665
S  0.1857  0.7994  0.7982
S  0.3143  0.2006  0.2982
S  0.5000  0.3380  0.7665
S  0.5000  0.7248  0.1310
S  0.6857  0.2006  0.2982
S  0.8143  0.7994  0.7982

Theoretical powder diffraction line list of Tl5Sb10As3S22 for Cu Kα, 1.54184 Å, from a structure optimized by DFT (GGA-PBE).
Peak positions follow from Bragg's law for the DFT cell and can differ from measured ones.

Principal peaks in the range 2θ = 10–90°, low angle first:
21.24 deg, rel. 56; 24.70 deg, rel. 64; 25.53 deg, rel. 100; 28.95 deg, rel. 70; 29.33 deg, rel. 72; 29.39 deg, rel. 63

Structural model:
abc: 7.7818 8.8959 18.0304
angles: 103.33 90.71 111.30
Element x y z (fractional)
Tl  0.0000  0.0000  0.0000
Tl  0.0003  0.4262  0.8370
Tl  0.4087  0.7409  0.2052
Tl  0.5235  0.3128  0.4084
Tl  0.8953  0.8251  0.6387
Sb  0.0467  0.2886  0.4208
Sb  0.0492  0.7436  0.4165
Sb  0.3768  0.8516  0.6272
Sb  0.4601  0.2467  0.8177
Sb  0.5119  0.8515  0.8346
Sb  0.5146  0.1327  0.0372
Sb  0.6085  0.8606  0.4371
Sb  0.7934  0.2648  0.6082
Sb  0.9041  0.2882  0.2107
Sb  0.9440  0.8924  0.2341
As  0.3706  0.3956  0.6402
As  0.4852  0.6103  0.9843
As  0.9505  0.5139  0.0505
S  0.0928  0.7905  0.1139
S  0.1162  0.3996  0.1092
S  0.1469  0.1662  0.2158
S  0.1540  0.5223  0.3432
S  0.1998  0.9297  0.3297
S  0.2166  0.2168  0.7130
S  0.2534  0.9530  0.8135
S  0.2807  0.6094  0.7032
S  0.2898  0.3331  0.9280
S  0.3136  0.7475  0.9382
S  0.4870  0.0955  0.5369
S  0.5052  0.6775  0.5317
S  0.6656  0.0289  0.7111
S  0.6687  0.4850  0.6915
S  0.6792  0.0129  0.1124
S  0.6824  0.4406  0.1085
S  0.7075  0.1499  0.9296
S  0.7086  0.6500  0.9084
S  0.7356  0.6417  0.3518
S  0.7661  0.1113  0.3306
S  0.9063  0.4551  0.5119
S  0.9174  0.0316  0.5066

Theoretical powder diffraction line list of Sc5As2S for Cu Kα, 1.54184 Å, from a structure optimized by DFT (GGA-PBE).
Peak positions follow from Bragg's law for the DFT cell and can differ from measured ones.

Principal peaks in the range 2θ = 10–90°, low angle first:
34.78 deg, rel. 100; 35.76 deg, rel. 46; 36.02 deg, rel. 90; 37.78 deg, rel. 52; 40.53 deg, rel. 26; 45.52 deg, rel. 31

Structural model:
abc: 10.7319 7.9705 7.1323
angles: 90.00 90.00 90.00
Element x y z (fractional)
Sc  0.0005  0.2500  0.0315
Sc  0.0687  0.0466  0.6904
Sc  0.0687  0.4534  0.6904
Sc  0.2043  0.7500  0.3637
Sc  0.2128  0.2500  0.3488
Sc  0.2872  0.7500  0.8488
Sc  0.2957  0.2500  0.8637
Sc  0.4313  0.5466  0.1904
Sc  0.4313  0.9534  0.1904
Sc  0.4995  0.7500  0.5315
Sc  0.5005  0.2500  0.4685
Sc  0.5687  0.0466  0.8096
Sc  0.5687  0.4534  0.8096
Sc  0.7043  0.7500  0.1363
Sc  0.7128  0.2500  0.1512
Sc  0.7872  0.7500  0.6512
Sc  0.7957  0.2500  0.6363
Sc  0.9313  0.5466  0.3096
Sc  0.9313  0.9534  0.3096
Sc  0.9995  0.7500  0.9685
As  0.1726  0.5083  0.0729
As  0.1726  0.9917  0.0729
As  0.3274  0.0083  0.5729
As  0.3274  0.4917  0.5729
As  0.6726  0.5083  0.4271
As  0.6726  0.9917  0.4271
As  0.8274  0.0083  0.9271
As  0.8274  0.4917  0.9271
S  0.0118  0.7500  0.5695
S  0.4882  0.2500  0.0695
S  0.5118  0.7500  0.9305
S  0.9882  0.2500  0.4305

Theoretical powder diffraction line list of Sc8As3S4 for Cu Kα, 1.54184 Å, from a structure optimized by DFT (GGA-PBE).
Peak positions follow from Bragg's law for the DFT cell and can differ from measured ones.

Principal peaks in the range 2θ = 10–90°, low angle first:
16.72 deg, rel. 12; 33.80 deg, rel. 100; 48.39 deg, rel. 11; 48.54 deg, rel. 44; 48.70 deg, rel. 11; 81.08 deg, rel. 18

Structural model:
abc: 7.4995 7.4995 7.4790
angles: 119.87 119.87 90.03
Element x y z (fractional)
Sc  0.2420  0.2420  0.4884
Sc  0.2432  0.2432  0.9954
Sc  0.2451  0.7549  0.0000
Sc  0.2488  0.7512  0.5000
Sc  0.7512  0.2488  0.5000
Sc  0.7549  0.2451  0.0000
Sc  0.7568  0.7568  0.0046
Sc  0.7580  0.7580  0.5116
As  0.0000  0.5000  0.0000
As  0.5000  0.0000  0.0000
As  0.5000  0.5000  0.5000
S  0.0000  0.0000  0.0000
S  0.0000  0.0000  0.5000
S  0.0000  0.5000  0.5000
S  0.5000  0.0000  0.5000

Theoretical powder diffraction line list of AsSeS3 for Cu Kα, 1.54184 Å, from a structure optimized by DFT (GGA-PBE).
Peak positions follow from Bragg's law for the DFT cell and can differ from measured ones.

Principal peaks in the range 2θ = 10–90°, low angle first:
13.20 deg, rel. 78; 18.65 deg, rel. 82; 20.91 deg, rel. 100; 29.06 deg, rel. 80; 33.41 deg, rel. 51; 40.34 deg, rel. 46

Structural model:
abc: 3.4572 9.4546 9.5170
angles: 89.99 89.94 89.81
Element x y z (fractional)
As  0.0000  0.0000  0.0000
As  0.0011  0.8639  0.5000
Se  0.4995  0.0034  0.6167
Se  0.5008  0.8604  0.1166
S  0.0027  0.6708  0.6491
S  0.0050  0.5038  0.5028
S  0.0054  0.5705  0.3099
S  0.9974  0.3601  0.0027
S  0.9985  0.1930  0.1491
S  0.9986  0.2933  0.8099

Theoretical powder diffraction line list of Tb3AsSeS for Cu Kα, 1.54184 Å, from a structure optimized by DFT (GGA-PBE).
Peak positions follow from Bragg's law for the DFT cell and can differ from measured ones.

Principal peaks in the range 2θ = 10–90°, low angle first:
23.62 deg, rel. 71; 24.65 deg, rel. 73; 29.58 deg, rel. 67; 30.62 deg, rel. 60; 32.33 deg, rel. 100; 37.76 deg, rel. 93

Structural model:
abc: 7.9107 7.9107 6.7584
angles: 98.29 98.29 129.15
Element x y z (fractional)
Tb  0.1707  0.3246  0.0010
Tb  0.2453  0.7547  0.7500
Tb  0.3246  0.1707  0.5010
Tb  0.6754  0.8293  0.4990
Tb  0.7547  0.2453  0.2500
Tb  0.8293  0.6754  0.9990
As  0.4353  0.5647  0.7500
As  0.5647  0.4353  0.2500
Se  0.2500  0.7500  0.2500
Se  0.7500  0.2500  0.7500
S  0.0566  0.9434  0.7500
S  0.9434  0.0566  0.2500

Theoretical powder diffraction line list of Tb6SiAs2S3 for Cu Kα, 1.54184 Å, from a structure optimized by DFT (GGA-PBE).
Peak positions follow from Bragg's law for the DFT cell and can differ from measured ones.

Principal peaks in the range 2θ = 10–90°, low angle first:
26.94 deg, rel. 41; 31.25 deg, rel. 100; 44.68 deg, rel. 37; 44.90 deg, rel. 36; 55.53 deg, rel. 19; 74.24 deg, rel. 16

Structural model:
abc: 9.0411 9.0411 8.0740
angles: 102.54 102.54 25.92
Element x y z (fractional)
Tb  0.0007  0.0007  0.2541
Tb  0.3339  0.3339  0.9164
Tb  0.3356  0.3356  0.4195
Tb  0.6644  0.6644  0.5805
Tb  0.6661  0.6661  0.0836
Tb  0.9993  0.9993  0.7459
Si  0.5000  0.5000  0.5000
As  0.1672  0.1672  0.8342
As  0.8328  0.8328  0.1658
S  0.1679  0.1679  0.3325
S  0.5000  0.5000  0.0000
S  0.8321  0.8321  0.6675

Theoretical powder diffraction line list of SmAsS for Cu Kα, 1.54184 Å, from a structure optimized by DFT (GGA-PBE).
Peak positions follow from Bragg's law for the DFT cell and can differ from measured ones.

Principal peaks in the range 2θ = 10–90°, low angle first:
23.44 deg, rel. 52; 27.58 deg, rel. 65; 30.69 deg, rel. 47; 34.19 deg, rel. 64; 38.69 deg, rel. 100; 46.72 deg, rel. 45

Structural model:
abc: 9.1629 9.1629 9.1629
angles: 155.50 155.50 34.92
Element x y z (fractional)
Sm  0.1460  0.1460  0.0000
Sm  0.8540  0.8540  0.0000
As  0.0000  0.5000  0.5000
As  0.5000  0.0000  0.5000
S  0.3128  0.3128  0.0000
S  0.6872  0.6872  0.0000

Theoretical powder diffraction line list of Sm7AsS5 for Cu Kα, 1.54184 Å, from a structure optimized by DFT (GGA-PBE).
Peak positions follow from Bragg's law for the DFT cell and can differ from measured ones.

Principal peaks in the range 2θ = 10–90°, low angle first:
27.72 deg, rel. 52; 29.55 deg, rel. 100; 31.20 deg, rel. 97; 32.34 deg, rel. 57; 33.02 deg, rel. 28; 45.42 deg, rel. 62

Structural model:
abc: 6.8724 6.8724 23.8232
angles: 90.06 90.06 33.81
Element x y z (fractional)
Sm  0.0000  0.0000  0.0000
Sm  0.9998  0.9998  0.1451
Sm  0.0991  0.0991  0.7092
Sm  0.1003  0.1003  0.4354
Sm  0.2786  0.2786  0.2097
Sm  0.2789  0.2789  0.9357
Sm  0.3781  0.3781  0.6451
Sm  0.3790  0.3790  0.5001
Sm  0.5514  0.5514  0.8603
Sm  0.5515  0.5515  0.2848
Sm  0.6601  0.6601  0.5725
Sm  0.7183  0.7183  0.0726
Sm  0.8274  0.8274  0.3604
Sm  0.8266  0.8266  0.7848
As  0.3813  0.3813  0.0722
As  0.9971  0.9971  0.5733
S  0.1895  0.1895  0.3226
S  0.1890  0.1890  0.8225
S  0.4653  0.4653  0.7515
S  0.4660  0.4660  0.3937
S  0.6382  0.6382  0.1792
S  0.6385  0.6385  0.9659
S  0.7396  0.7396  0.6792
S  0.7406  0.7406  0.4659
S  0.9129  0.9129  0.2515
S  0.9127  0.9127  0.8936

Theoretical powder diffraction line list of Sm5As4S for Cu Kα, 1.54184 Å, from a structure optimized by DFT (GGA-PBE).
Peak positions follow from Bragg's law for the DFT cell and can differ from measured ones.

Principal peaks in the range 2θ = 10–90°, low angle first:
26.12 deg, rel. 26; 30.25 deg, rel. 100; 43.31 deg, rel. 75; 53.73 deg, rel. 26; 71.38 deg, rel. 34; 79.45 deg, rel. 25

Structural model:
abc: 7.2369 7.2369 7.2369
angles: 99.60 99.60 131.79
Element x y z (fractional)
Sm  0.0000  0.0000  0.0000
Sm  0.2005  0.3996  0.6002
Sm  0.3996  0.7995  0.1991
Sm  0.6004  0.2005  0.8009
Sm  0.7995  0.6004  0.3998
As  0.0991  0.7010  0.8001
As  0.2990  0.0991  0.3981
As  0.7010  0.9009  0.6019
As  0.9009  0.2990  0.1999
S  0.5000  0.5000  0.0000